PmPrI2O2: simulated X-ray powder pattern (CuKα), based on a cell relaxed with GGA-PBE.

Structure:
```
PmPrI2O2
1.0
4.0776 0.0000 0.0000
0.0000 4.0776 0.0000
0.0000 0.0000 9.2334
Pm Pr I O
1 1 2 2
Direct
0.0000 0.0000 0.0000
0.5000 0.5000 0.2528
0.0000 0.0000 0.4561
0.5000 0.5000 0.7945
0.0000 0.5000 0.1227
0.5000 0.0000 0.1227
```

Peak list (6 most intense, 2θ = 10–80°, low angle first)
Position (°2θ), d_spacing, I (rel.), index
29.2, 3.056, 100.0, 1 0 2
31.0, 2.883, 43.3, 1 1 0
36.6, 2.457, 9.7, 1 0 3
44.4, 2.039, 20.4, 2 0 0
50.7, 1.802, 15.7, 1 1 4
54.1, 1.696, 35.3, 2 1 2